Theoretical X-ray powder pattern of Sc3ZnC for Cu Kα (weighted mean of Kα1 and Kα2), from a cell relaxed with PBE.

Peak list (10 most intense, 2θ from 10° to 90°, sorted by position)
2θ 33.11, rel. 13, hkl 0 2 1
2θ 33.56, rel. 28, hkl 1 2 -1
2θ 34.19, rel. 100, hkl 3 0 -2
2θ 34.72, rel. 42, hkl 2 1 1
2θ 35.58, rel. 52, hkl 1 1 -3
2θ 38.26, rel. 31, hkl 2 2 -1
2θ 40.57, rel. 12, hkl 2 2 -2
2θ 46.08, rel. 31, hkl 2 1 -4
2θ 52.06, rel. 12, hkl 4 1 0
2θ 62.65, rel. 14, hkl 4 1 -5

Structural model:
```
data_Sc3ZnC
_cell_length_a 8.1110
_cell_length_b 5.7834
_cell_length_c 8.4370
_cell_angle_alpha 90.00
_cell_angle_beta 114.58
_cell_angle_gamma 90.00
_space_group_name_H-M_alt 'P 1 21/c 1'
_space_group_IT_number 14
loop_
_space_group_symop_operation_xyz
'x,y,z'
'-x,-y,-z'
'-x,y+1/2,-z+1/2'
'x,-y+1/2,z+1/2'
loop_
_atom_site_label
_atom_site_type_symbol
_atom_site_fract_x
_atom_site_fract_y
_atom_site_fract_z
Sc1 Sc 0.0750 0.0713 0.3609
Sc2 Sc 0.1949 0.5796 0.5524
Sc3 Sc 0.3593 0.1090 0.7599
Zn1 Zn 0.4149 0.6691 0.9206
C1 C 0.0796 0.2502 0.1127
```